[1]
Theoretical PXRD pattern
Compound: PaBeGa
Radiation: Cu Ka
Structure: a crystal structure in Alexandria, relaxed with PBE
No peak broadening, texture or thermal motion is included.

Principal peaks in the range 2θ = 5–70°, by intensity:
| d/Å | I_rel |
| --- | --- |
| 2.609 | 100.0 |
| 3.401 | 50.6 |
| 1.964 | 27.8 |
| 1.569 | 21.8 |
| 1.413 | 19.3 |
| 1.746 | 16.1 |
| 4.068 | 14.3 |
| 2.034 | 10.3 |
| 1.769 | 9.7 |
| 1.701 | 7.4 |

Cell and atoms:
```
PaBeGa
1.0
3.9276 0.0000 0.0000
-1.9638 3.4014 0.0000
0.0000 0.0000 4.0678
Pa Be Ga
1 1 1
direct
0.0000 0.0000 0.0000
0.6667 0.3333 0.5000
0.3333 0.6667 0.5000
```

---

[2]
Theoretical PXRD pattern
Compound: PaBeGa
Radiation: Cu Ka
Structure: a crystal structure in Alexandria, relaxed with PBE
No peak broadening, texture or thermal motion is included.

Principal peaks in the range 2θ = 5–70°, by intensity:
| d/Å | I_rel |
| --- | --- |
| 2.605 | 100.0 |
| 2.629 | 56.7 |
| 3.403 | 53.0 |
| 1.985 | 30.9 |
| 1.569 | 24.2 |
| 3.455 | 23.7 |
| 4.050 | 23.1 |
| 1.417 | 20.9 |
| 1.740 | 16.7 |
| 2.025 | 16.6 |

Cell and atoms:
```
PaBeGa
1.0
3.9101 0.0000 0.0000
0.0000 6.9103 0.0000
0.0000 0.0000 8.0996
Pa Be Ga
4 4 4
direct
0.0000 0.0000 0.2476
0.0000 0.0000 0.7524
0.5000 0.5000 0.2524
0.5000 0.5000 0.7476
0.0000 0.3460 0.5000
0.0000 0.6540 0.5000
0.5000 0.1540 0.0000
0.5000 0.8460 0.0000
0.0000 0.3207 0.0000
0.0000 0.6793 0.0000
0.5000 0.1793 0.5000
0.5000 0.8207 0.5000
```

---

[3]
Theoretical PXRD pattern
Compound: Be5GaPd6
Radiation: Cu Ka
Structure: a crystal structure in Alexandria, relaxed with PBE
No peak broadening, texture or thermal motion is included.

Principal peaks in the range 2θ = 5–70°, by intensity:
| d/Å | I_rel |
| --- | --- |
| 2.070 | 100.0 |
| 2.036 | 95.6 |
| 2.020 | 93.1 |
| 2.951 | 73.3 |
| 2.903 | 69.9 |
| 2.812 | 64.7 |
| 1.667 | 52.7 |
| 1.476 | 16.6 |
| 1.452 | 15.3 |
| 1.406 | 14.1 |

Cell and atoms:
```
Be5GaPd6
1.0
4.0733 0.0000 0.0000
0.0000 5.8063 0.0000
-1.7401 0.0000 6.1120
Be Ga Pd
5 1 6
direct
0.0000 0.0000 0.0000
0.3277 0.5000 0.6592
0.3300 0.0000 0.6683
0.6700 0.0000 0.3317
0.6723 0.5000 0.3408
0.0000 0.5000 0.0000
0.1743 0.2450 0.3413
0.1743 0.7550 0.3413
0.5000 0.2387 0.0000
0.5000 0.7613 0.0000
0.8257 0.2450 0.6587
0.8257 0.7550 0.6587
```

---

[4]
Theoretical PXRD pattern
Compound: Pm3Be2GaPd9
Radiation: Cu Ka
Structure: a crystal structure in Alexandria, relaxed with PBE
No peak broadening, texture or thermal motion is included.

Principal peaks in the range 2θ = 5–70°, by intensity:
| d/Å | I_rel |
| --- | --- |
| 2.466 | 100.0 |
| 2.232 | 91.9 |
| 3.031 | 45.0 |
| 1.700 | 27.3 |
| 1.479 | 25.6 |
| 1.483 | 14.2 |
| 1.957 | 7.9 |
| 3.401 | 7.1 |
| 2.273 | 6.7 |
| 2.078 | 4.8 |

Cell and atoms:
```
Pm3Be2GaPd9
1.0
5.9159 0.0000 0.0000
-2.9579 5.1233 0.0000
0.0000 0.0000 9.0938
Pm Be Ga Pd
3 2 1 9
direct
0.0000 0.0000 0.0000
0.3333 0.6667 0.6635
0.6667 0.3333 0.3365
0.3333 0.6667 0.1514
0.6667 0.3333 0.8486
0.0000 0.0000 0.5000
0.0000 0.5000 0.0000
0.1632 0.3263 0.2935
0.1632 0.8368 0.2935
0.3263 0.1632 0.7065
0.5000 0.0000 0.0000
0.5000 0.5000 0.0000
0.6737 0.8368 0.2935
0.8368 0.1632 0.7065
0.8368 0.6737 0.7065
```

---

[5]
Theoretical PXRD pattern
Compound: Pr2BeGa4Pd3
Radiation: Cu Ka
Structure: a crystal structure in Alexandria, relaxed with PBE
No peak broadening, texture or thermal motion is included.

Principal peaks in the range 2θ = 5–70°, by intensity:
| d/Å | I_rel |
| --- | --- |
| 2.616 | 100.0 |
| 2.712 | 90.7 |
| 2.130 | 69.5 |
| 1.675 | 42.3 |
| 1.891 | 39.8 |
| 3.012 | 33.4 |
| 1.414 | 30.3 |
| 1.506 | 23.2 |
| 1.984 | 15.2 |
| 1.519 | 11.9 |

Cell and atoms:
```
Pr2BeGa4Pd3
1.0
4.2599 0.0000 0.0000
0.0000 4.2599 0.0000
0.0000 0.0000 10.5507
Pr Be Ga Pd
2 1 4 3
direct
0.0000 0.5000 0.2438
0.5000 0.0000 0.7562
0.5000 0.5000 0.0000
0.0000 0.0000 0.5000
0.0000 0.5000 0.8754
0.5000 0.0000 0.1246
0.5000 0.5000 0.5000
0.0000 0.0000 0.0000
0.0000 0.5000 0.6353
0.5000 0.0000 0.3647
```

---

[6]
Theoretical PXRD pattern
Compound: TbBeGa2Pd4
Radiation: Cu Ka
Structure: a crystal structure in Alexandria, relaxed with PBE
No peak broadening, texture or thermal motion is included.

Principal peaks in the range 2θ = 5–70°, by intensity:
| d/Å | I_rel |
| --- | --- |
| 2.147 | 100.0 |
| 2.364 | 58.6 |
| 2.549 | 56.3 |
| 2.962 | 40.0 |
| 1.589 | 16.8 |
| 1.642 | 14.7 |
| 1.910 | 14.2 |
| 3.677 | 11.0 |
| 1.480 | 9.9 |
| 1.739 | 8.4 |

Cell and atoms:
```
TbBeGa2Pd4
1.0
2.1474 1.2398 8.1643
-2.1474 1.2398 8.1643
0.0000 -2.4796 8.1643
Tb Be Ga Pd
1 1 2 4
direct
0.0000 0.0000 0.0000
0.5000 0.5000 0.5000
0.2438 0.2438 0.2438
0.7562 0.7562 0.7562
0.1356 0.1356 0.1356
0.4059 0.4059 0.4059
0.5941 0.5941 0.5941
0.8644 0.8644 0.8644
```

---

[7]
Theoretical PXRD pattern
Compound: Tm2Be2GaPd5
Radiation: Cu Ka
Structure: a crystal structure in Alexandria, relaxed with PBE
No peak broadening, texture or thermal motion is included.

Principal peaks in the range 2θ = 5–70°, by intensity:
| d/Å | I_rel |
| --- | --- |
| 2.266 | 100.0 |
| 2.674 | 97.5 |
| 2.316 | 87.3 |
| 2.406 | 34.7 |
| 1.378 | 33.3 |
| 2.096 | 30.6 |
| 2.135 | 25.0 |
| 1.714 | 24.3 |
| 2.251 | 24.1 |
| 1.368 | 19.7 |

Cell and atoms:
```
Tm2Be2GaPd5
1.0
9.5501 0.0000 0.0000
0.0000 9.5501 0.0000
0.0000 0.0000 3.4283
Tm Be Ga Pd
4 4 2 10
direct
0.1768 0.3232 0.0000
0.3232 0.8232 0.0000
0.6768 0.1768 0.0000
0.8232 0.6768 0.0000
0.1195 0.6195 0.0000
0.3805 0.1195 0.0000
0.6195 0.8805 0.0000
0.8805 0.3805 0.0000
0.0000 0.0000 0.0000
0.5000 0.5000 0.0000
0.0000 0.5000 0.5000
0.0681 0.7875 0.5000
0.2125 0.0681 0.5000
0.2875 0.5681 0.5000
0.4319 0.2875 0.5000
0.5000 0.0000 0.5000
0.5681 0.7125 0.5000
0.7125 0.4319 0.5000
0.7875 0.9319 0.5000
0.9319 0.2125 0.5000
```

---

[8]
Theoretical PXRD pattern
Compound: BeGaPt2
Radiation: Cu Ka
Structure: a crystal structure in Alexandria, relaxed with PBE
No peak broadening, texture or thermal motion is included.

Principal peaks in the range 2θ = 5–70°, by intensity:
| d/Å | I_rel |
| --- | --- |
| 3.140 | 100.0 |
| 2.170 | 90.5 |
| 2.420 | 78.7 |
| 1.856 | 64.3 |
| 1.410 | 23.1 |
| 1.473 | 17.0 |
| 1.598 | 16.3 |
| 1.480 | 15.8 |
| 2.945 | 12.9 |
| 2.451 | 12.0 |

Cell and atoms:
```
BeGaPt2
1.0
3.7119 0.0000 0.0000
-1.8560 3.2146 0.0000
0.0000 0.0000 14.7072
Be Ga Pt
3 3 6
direct
0.0000 0.0000 0.0000
0.3333 0.6667 0.6667
0.6667 0.3333 0.3333
0.0000 0.0000 0.8278
0.3333 0.6667 0.4945
0.6667 0.3333 0.1612
0.0000 0.0000 0.3957
0.0000 0.0000 0.5959
0.3333 0.6667 0.0624
0.3333 0.6667 0.2626
0.6667 0.3333 0.7291
0.6667 0.3333 0.9292
```

---

[9]
Theoretical PXRD pattern
Compound: Pu2BeGaPt6
Radiation: Cu Ka
Structure: a crystal structure in Alexandria, relaxed with PBE
No peak broadening, texture or thermal motion is included.

Principal peaks in the range 2θ = 5–70°, by intensity:
| d/Å | I_rel |
| --- | --- |
| 2.628 | 100.0 |
| 2.276 | 60.9 |
| 1.609 | 41.0 |
| 1.372 | 38.9 |
| 2.089 | 4.0 |
| 3.219 | 3.5 |
| 1.752 | 3.1 |
| 2.745 | 1.5 |
| 1.439 | 1.1 |
| 1.858 | 1.1 |

Cell and atoms:
```
Pu2BeGaPt6
1.0
0.0000 4.5520 4.5520
4.5520 0.0000 4.5520
4.5520 4.5520 0.0000
Pu Be Ga Pt
2 1 1 6
direct
0.2500 0.2500 0.2500
0.7500 0.7500 0.7500
0.0000 0.0000 0.0000
0.5000 0.5000 0.5000
0.2353 0.2353 0.7647
0.2353 0.7647 0.2353
0.2353 0.7647 0.7647
0.7647 0.2353 0.2353
0.7647 0.2353 0.7647
0.7647 0.7647 0.2353
```

---

[10]
Theoretical PXRD pattern
Compound: PuBeGaPt3
Radiation: Cu Ka
Structure: a crystal structure in Alexandria, relaxed with PBE
No peak broadening, texture or thermal motion is included.

Principal peaks in the range 2θ = 5–70°, by intensity:
| d/Å | I_rel |
| --- | --- |
| 2.965 | 100.0 |
| 2.495 | 79.5 |
| 2.155 | 77.2 |
| 2.911 | 51.2 |
| 2.063 | 37.4 |
| 1.732 | 35.4 |
| 2.575 | 35.2 |
| 4.007 | 23.0 |
| 1.418 | 21.8 |
| 2.254 | 19.2 |

Cell and atoms:
```
PuBeGaPt3
1.0
3.4457 -5.8227 0.0000
3.4457 5.8227 0.0000
0.0000 0.0000 5.5221
Pu Be Ga Pt
2 2 2 6
direct
0.2097 0.7903 0.7500
0.7903 0.2097 0.2500
0.1105 0.8895 0.2500
0.8895 0.1105 0.7500
0.4749 0.5251 0.7500
0.5251 0.4749 0.2500
0.1997 0.1997 0.0000
0.1997 0.1997 0.5000
0.3004 0.6996 0.2500
0.6996 0.3004 0.7500
0.8003 0.8003 0.0000
0.8003 0.8003 0.5000
```

---

[11]
Theoretical PXRD pattern
Compound: Be2GaRh3
Radiation: Cu Ka
Structure: a crystal structure in Alexandria, relaxed with PBE
No peak broadening, texture or thermal motion is included.

Principal peaks in the range 2θ = 5–70°, by intensity:
| d/Å | I_rel |
| --- | --- |
| 2.033 | 100.0 |
| 2.872 | 31.1 |
| 2.883 | 14.5 |
| 1.660 | 11.1 |
| 1.436 | 10.9 |
| 8.648 | 7.6 |
| 2.392 | 7.5 |
| 2.725 | 7.3 |
| 1.441 | 4.5 |
| 1.480 | 3.1 |

Cell and atoms:
```
Be2GaRh3
1.0
2.8716 0.0000 0.0000
0.0000 2.8716 0.0000
0.0000 0.0000 8.6479
Be Ga Rh
2 1 3
direct
0.0000 0.0000 0.1523
0.0000 0.0000 0.8477
0.0000 0.0000 0.5000
0.5000 0.5000 0.0000
0.5000 0.5000 0.3173
0.5000 0.5000 0.6827
```

---

[12]
Theoretical PXRD pattern
Compound: BeGaRh
Radiation: Cu Ka
Structure: a crystal structure in Alexandria, relaxed with PBE
No peak broadening, texture or thermal motion is included.

Principal peaks in the range 2θ = 5–70°, by intensity:
| d/Å | I_rel |
| --- | --- |
| 2.192 | 100.0 |
| 3.387 | 53.2 |
| 1.955 | 49.7 |
| 1.459 | 26.5 |
| 1.693 | 7.1 |
| 1.438 | 5.9 |
| 1.617 | 2.3 |
| 2.876 | 2.2 |

Cell and atoms:
```
BeGaRh
1.0
3.9106 0.0000 0.0000
-1.9553 3.3867 0.0000
0.0000 0.0000 2.8760
Be Ga Rh
1 1 1
direct
0.0000 0.0000 0.0000
0.6667 0.3333 0.4816
0.3333 0.6667 0.9804
```

---

[13]
Theoretical PXRD pattern
Compound: SrBeGa2Ru2
Radiation: Cu Ka
Structure: a crystal structure in Alexandria, relaxed with PBE
No peak broadening, texture or thermal motion is included.

Principal peaks in the range 2θ = 5–70°, by intensity:
| d/Å | I_rel |
| --- | --- |
| 2.714 | 100.0 |
| 2.184 | 67.9 |
| 2.381 | 50.7 |
| 2.091 | 39.6 |
| 5.680 | 37.3 |
| 1.610 | 29.4 |
| 1.614 | 25.3 |
| 1.544 | 22.2 |
| 3.463 | 19.5 |
| 2.039 | 9.6 |

Cell and atoms:
```
SrBeGa2Ru2
1.0
4.3685 0.0000 0.0000
0.0000 4.3685 0.0000
0.0000 0.0000 5.6800
Sr Be Ga Ru
1 1 2 2
direct
0.0000 0.0000 0.0000
0.0000 0.0000 0.5000
0.5000 0.5000 0.2589
0.5000 0.5000 0.7411
0.0000 0.5000 0.5000
0.5000 0.0000 0.5000
```

---

[14]
Theoretical PXRD pattern
Compound: Ti2Be2GaRu5
Radiation: Cu Ka
Structure: a crystal structure in Alexandria, relaxed with PBE
No peak broadening, texture or thermal motion is included.

Principal peaks in the range 2θ = 5–70°, by intensity:
| d/Å | I_rel |
| --- | --- |
| 2.129 | 100.0 |
| 2.237 | 56.4 |
| 2.485 | 37.4 |
| 1.977 | 35.4 |
| 2.062 | 33.7 |
| 3.115 | 33.0 |
| 2.558 | 28.4 |
| 2.252 | 19.8 |
| 1.817 | 19.1 |
| 1.557 | 17.3 |

Cell and atoms:
```
Ti2Be2GaRu5
1.0
9.2213 0.0000 0.0000
0.0000 9.2213 0.0000
0.0000 0.0000 3.1146
Ti Be Ga Ru
4 4 2 10
direct
0.1721 0.3279 0.0000
0.3279 0.8279 0.0000
0.6721 0.1721 0.0000
0.8279 0.6721 0.0000
0.1260 0.6260 0.0000
0.3740 0.1260 0.0000
0.6260 0.8740 0.0000
0.8740 0.3740 0.0000
0.0000 0.0000 0.0000
0.5000 0.5000 0.0000
0.0000 0.5000 0.5000
0.0753 0.7943 0.5000
0.2057 0.0753 0.5000
0.2943 0.5753 0.5000
0.4247 0.2943 0.5000
0.5000 0.0000 0.5000
0.5753 0.7057 0.5000
0.7057 0.4247 0.5000
0.7943 0.9247 0.5000
0.9247 0.2057 0.5000
```